Computed powder X-ray diffraction pattern
Compound: Rb2Ag2O5
Radiation: CuKα
Structure: the GGA-PBE geometry in OQMD

```
data_Rb2Ag2O5
_cell_length_a 4.011
_cell_length_b 4.011
_cell_length_c 9.158
_cell_angle_alpha 90.00
_cell_angle_beta 90.00
_cell_angle_gamma 90.00
_space_group_name_H-M_alt 'P 4/m m m'
_space_group_IT_number 123
_space_group_name_Hall '-P 4 2'
loop_
_atom_site_label
_atom_site_type_symbol
_atom_site_fract_x
_atom_site_fract_y
_atom_site_fract_z
Rb1 Rb 0.000 0.000 0.000
Rb2 Rb 0.000 0.000 0.500
Ag1 Ag 0.500 0.500 0.226
O1 O 0.000 0.500 0.273
O2 O 0.500 0.500 0.000
```

Largest 8 diffraction maxima, by angle, 2θ from 10° to 90°:
2θ = 29.61°, intensity 100
2θ = 31.54°, intensity 37
2θ = 39.35°, intensity 15
2θ = 45.21°, intensity 25
2θ = 51.28°, intensity 16
2θ = 54.98°, intensity 34
2θ = 61.46°, intensity 15
2θ = 65.86°, intensity 7

Computed powder X-ray diffraction pattern
Compound: RbReAg3O4
Radiation: CuKα
Structure: the GGA-PBE geometry in OQMD

```
data_RbReAg3O4
_cell_length_a 5.763
_cell_length_b 5.763
_cell_length_c 5.763
_cell_angle_alpha 90.00
_cell_angle_beta 90.00
_cell_angle_gamma 90.00
_space_group_name_H-M_alt 'P -4 3 m'
_space_group_IT_number 215
_space_group_name_Hall 'P -4 2 3'
loop_
_atom_site_label
_atom_site_type_symbol
_atom_site_fract_x
_atom_site_fract_y
_atom_site_fract_z
Rb1 Rb 0.000 0.000 0.000
Re1 Re 0.500 0.500 0.500
Ag1 Ag 0.000 0.500 0.500
O1 O 0.308 0.308 0.308
```

Largest 8 diffraction maxima, by angle, 2θ from 10° to 90°:
2θ = 15.38°, intensity 96
2θ = 21.81°, intensity 43
2θ = 26.79°, intensity 39
2θ = 31.04°, intensity 100
2θ = 34.81°, intensity 35
2θ = 44.47°, intensity 97
2θ = 73.49°, intensity 37
2θ = 81.89°, intensity 29

Computed powder X-ray diffraction pattern
Compound: Re2AgO8
Radiation: CuKα
Structure: the GGA-PBE geometry in OQMD

```
data_Re2AgO8
_cell_length_a 5.8493
_cell_length_b 5.8493
_cell_length_c 6.2871
_cell_angle_alpha 90.00
_cell_angle_beta 90.00
_cell_angle_gamma 120.00
_space_group_name_H-M_alt 'P -3'
_space_group_IT_number 147
_space_group_name_Hall '-P 3'
loop_
_atom_site_label
_atom_site_type_symbol
_atom_site_fract_x
_atom_site_fract_y
_atom_site_fract_z
Re1 Re 0.3333 0.6667 0.3055
Ag1 Ag 0.0000 0.0000 0.0000
O1 O 0.1386 0.3403 0.2165
O2 O 0.3333 0.6667 0.5820
```

Largest 8 diffraction maxima, by angle, 2θ from 10° to 90°:
2θ = 22.54°, intensity 100
2θ = 30.57°, intensity 39
2θ = 33.55°, intensity 22
2θ = 38.31°, intensity 14
2θ = 46.02°, intensity 14
2θ = 49.78°, intensity 23
2θ = 53.81°, intensity 14
2θ = 56.26°, intensity 10